No. 1
Diffraction record for La4PmY3. The X-ray powder pattern is computed, not measured: it uses a structure optimized by DFT (GGA-PBE) and Cu Kα X-rays.
Neutral-atom scattering factors, no anomalous dispersion.

Crystal structure
```
data_La4PmY3
_chemical_formula_sum 'La8 Pm2 Y6'
_cell_length_a 5.193
_cell_length_b 10.381
_cell_length_c 10.344
_cell_angle_alpha 90.00
_cell_angle_beta 90.00
_cell_angle_gamma 90.00
_symmetry_space_group_name_H-M 'P m m n'
_symmetry_Int_Tables_number 59
loop_
_symmetry_equiv_pos_as_xyz
'x,y,z'
'-x,-y,-z'
'-x+1/2,-y+1/2,z'
'x+1/2,y+1/2,-z'
'x+1/2,-y,-z'
'-x+1/2,y,z'
'-x,y+1/2,-z'
'x,-y+1/2,z'
loop_
_atom_site_label
_atom_site_type_symbol
_atom_site_fract_x
_atom_site_fract_y
_atom_site_fract_z
La1 La 0.250 0.001 0.125
La2 La 0.250 0.250 0.874
La3 La 0.250 0.750 0.873
Pm1 Pm 0.250 0.250 0.381
Y1 Y 0.250 0.000 0.619
Y2 Y 0.250 0.750 0.381
```

Principal peaks in the range 2θ from 10° to 90°, sorted by position:
hkl	d (Å)	Rel. int.
1 2 2	2.994	1000
2 0 0	2.596	339
0 0 4	2.586	166
2 4 0	1.834	238
3 2 2	1.565	284
1 2 6	1.561	138



No. 2
Diffraction record for La2Pm3Y6. The X-ray powder pattern is computed, not measured: it uses a structure optimized by DFT (GGA-PBE) and Cu Kα X-rays.
Neutral-atom scattering factors, no anomalous dispersion.

Crystal structure
```
data_La2Pm3Y6
_chemical_formula_sum 'La6 Pm9 Y18'
_cell_length_a 3.6305
_cell_length_b 3.6305
_cell_length_c 96.9483
_cell_angle_alpha 90.00
_cell_angle_beta 90.00
_cell_angle_gamma 120.00
_symmetry_space_group_name_H-M 'R -3 m'
_symmetry_Int_Tables_number 166
_symmetry_space_group_name_Hall '-R 3 2"'
loop_
_atom_site_label
_atom_site_type_symbol
_atom_site_fract_x
_atom_site_fract_y
_atom_site_fract_z
La1 La 0.0000 0.0000 0.0456
Pm1 Pm 0.0000 0.0000 0.2270
Pm2 Pm 0.0000 0.0000 0.5000
Y1 Y 0.0000 0.0000 0.1365
Y2 Y 0.0000 0.0000 0.3185
Y3 Y 0.0000 0.0000 0.4097
```

Principal peaks in the range 2θ from 10° to 90°, sorted by position:
hkl	d (Å)	Rel. int.
0 1 11	2.961	1000
0 0 33	2.938	325
1 0 22	2.559	667
1 1 0	1.815	238
0 1 44	1.804	231
1 1 33	1.544	277